1.
Structure and simulated PXRD pattern of Dy2In (a PBE-relaxed structure; copper Kα).
Peak positions follow from Bragg's law for the DFT cell and can differ from measured ones.

Peak list (8 most intense, 10° ≤ 2θ ≤ 90°, in order of rising 2θ)
2θ 32.79, rel. 96.2, hkl 1 0 2
2θ 33.17, rel. 100.0, hkl 1 1 0
2θ 47.34, rel. 34.5, hkl 2 0 2
2θ 59.02, rel. 35.6, hkl 2 1 2
2θ 59.26, rel. 18.8, hkl 3 0 0
2θ 65.36, rel. 27.9, hkl 1 1 4
2θ 79.12, rel. 15.3, hkl 3 1 2
2θ 84.78, rel. 13.8, hkl 3 0 4

Unit cell a=5.4016 b=5.4016 c=6.7284 alpha=90.00 beta=90.00 gamma=120.00
Space group P6_3/mmc (No. 194)
Unique sites:
Dy 0.0000 0.0000 0.0000 (multiplicity 2)
Dy 0.3333 0.6667 0.2500 (multiplicity 2)
In 0.3333 0.6667 0.7500 (multiplicity 2)



2.
Structure and simulated PXRD pattern of GaP2H11O12 (a PBE-relaxed structure; copper Kα).
Peak positions follow from Bragg's law for the DFT cell and can differ from measured ones.

Peak list (8 most intense, 10° ≤ 2θ ≤ 90°, in order of rising 2θ)
2θ 12.08, rel. 100.0, hkl 1 0 0
2θ 15.88, rel. 25.1, hkl 0 1 1
2θ 16.84, rel. 38.9, hkl 1 1 0
2θ 18.11, rel. 45.2, hkl 1 1 -1
2θ 21.54, rel. 21.8, hkl 0 0 2
2θ 26.51, rel. 60.3, hkl 2 1 -1
2θ 27.58, rel. 40.2, hkl 1 0 2
2θ 32.14, rel. 47.9, hkl 1 2 -2

Unit cell a=7.620 b=7.574 c=8.582 alpha=90.00 beta=105.95 gamma=90.00
Space group P2_1/c (No. 14)
Unique sites:
Ga 0.000 0.000 0.000 (multiplicity 2)
P 0.184 0.156 0.365 (multiplicity 4)
H 0.000 0.000 0.500 (multiplicity 2)
H 0.184 0.722 0.950 (multiplicity 4)
H 0.276 0.606 0.391 (multiplicity 4)
H 0.373 0.016 0.682 (multiplicity 4)
H 0.431 0.193 0.901 (multiplicity 4)
H 0.449 0.050 0.191 (multiplicity 4)
O 0.058 0.187 0.864 (multiplicity 4)
O 0.146 0.001 0.471 (multiplicity 4)
O 0.180 0.099 0.193 (multiplicity 4)
O 0.208 0.649 0.467 (multiplicity 4)
O 0.392 0.202 0.453 (multiplicity 4)
O 0.429 0.501 0.299 (multiplicity 4)



3.
Structure and simulated PXRD pattern of SbOsS (a PBE-relaxed structure; copper Kα).
Peak positions follow from Bragg's law for the DFT cell and can differ from measured ones.

Peak list (8 most intense, 10° ≤ 2θ ≤ 90°, in order of rising 2θ)
2θ 22.33, rel. 100.0, hkl 1 1 -1
2θ 28.83, rel. 30.9, hkl 0 2 0
2θ 30.59, rel. 63.1, hkl 2 0 0
2θ 33.68, rel. 31.2, hkl 1 2 -1
2θ 33.92, rel. 31.7, hkl 2 1 0
2θ 42.53, rel. 31.7, hkl 2 2 0
2θ 45.74, rel. 68.7, hkl 3 1 -1
2θ 51.24, rel. 29.6, hkl 1 3 1

Unit cell a=6.284 b=6.195 c=6.287 alpha=90.00 beta=111.59 gamma=90.00
Space group P2_1/c (No. 14)
Unique sites:
Sb 0.149 0.130 0.372 (multiplicity 4)
Os 0.296 0.514 0.302 (multiplicity 4)
S 0.354 0.634 0.680 (multiplicity 4)



4.
Structure and simulated PXRD pattern of YU3 (a PBE-relaxed structure; copper Kα).
Peak positions follow from Bragg's law for the DFT cell and can differ from measured ones.

Peak list (8 most intense, 10° ≤ 2θ ≤ 90°, in order of rising 2θ)
2θ 34.40, rel. 100.0, hkl 1 1 2
2θ 37.73, rel. 19.5, hkl 0 0 4
2θ 40.99, rel. 31.1, hkl 2 0 0
2θ 56.92, rel. 24.3, hkl 2 0 4
2θ 59.35, rel. 10.8, hkl 2 2 0
2θ 65.99, rel. 15.9, hkl 1 1 6
2θ 70.43, rel. 26.5, hkl 3 1 2
2θ 72.50, rel. 12.2, hkl 2 2 4

Unit cell a=4.404 b=4.404 c=9.537 alpha=90.00 beta=90.00 gamma=90.00
Space group I4/mmm (No. 139)
Unique sites:
Y 0.000 0.000 0.000 (multiplicity 2)
U 0.000 0.000 0.500 (multiplicity 2)
U 0.000 0.500 0.250 (multiplicity 4)



5.
Structure and simulated PXRD pattern of YCo2B2C (a PBE-relaxed structure; copper Kα).
Peak positions follow from Bragg's law for the DFT cell and can differ from measured ones.

Peak list (8 most intense, 10° ≤ 2θ ≤ 90°, in order of rising 2θ)
2θ 26.62, rel. 28.8, hkl 1 0 1
2θ 34.59, rel. 34.7, hkl 0 0 4
2θ 36.33, rel. 24.2, hkl 1 0 3
2θ 40.02, rel. 100.0, hkl 1 1 2
2θ 51.68, rel. 26.5, hkl 2 0 0
2θ 63.68, rel. 21.4, hkl 2 0 4
2θ 65.65, rel. 23.5, hkl 1 1 6
2θ 89.65, rel. 17.5, hkl 3 1 2

Unit cell a=3.538 b=3.538 c=10.372 alpha=90.00 beta=90.00 gamma=90.00
Space group I4/mmm (No. 139)
Unique sites:
Y 0.000 0.000 0.000 (multiplicity 2)
Co 0.000 0.500 0.250 (multiplicity 4)
B 0.000 0.000 0.355 (multiplicity 4)
C 0.000 0.000 0.500 (multiplicity 2)



6.
Structure and simulated PXRD pattern of Lu3GaC (a PBE-relaxed structure; copper Kα).
Peak positions follow from Bragg's law for the DFT cell and can differ from measured ones.

Peak list (8 most intense, 10° ≤ 2θ ≤ 90°, in order of rising 2θ)
2θ 18.80, rel. 10.9, hkl 1 0 0
2θ 26.71, rel. 5.7, hkl 1 1 0
2θ 32.86, rel. 100.0, hkl 1 1 1
2θ 38.13, rel. 54.0, hkl 2 0 0
2θ 55.02, rel. 37.3, hkl 2 2 0
2θ 65.59, rel. 41.6, hkl 3 1 1
2θ 68.91, rel. 12.6, hkl 2 2 2
2θ 81.58, rel. 6.0, hkl 4 0 0

Unit cell a=4.720 b=4.720 c=4.720 alpha=90.00 beta=90.00 gamma=90.00
Space group Pm-3m (No. 221)
Unique sites:
Lu 0.000 0.000 0.500 (multiplicity 3)
Ga 0.500 0.500 0.500 (multiplicity 1)
C 0.000 0.000 0.000 (multiplicity 1)



7.
Structure and simulated PXRD pattern of HoGa3 (a PBE-relaxed structure; copper Kα).
Peak positions follow from Bragg's law for the DFT cell and can differ from measured ones.

Peak list (8 most intense, 10° ≤ 2θ ≤ 90°, in order of rising 2θ)
2θ 20.84, rel. 16.5, hkl 1 0 0
2θ 29.63, rel. 14.0, hkl 1 1 0
2θ 36.50, rel. 100.0, hkl 1 1 1
2θ 42.40, rel. 49.2, hkl 2 0 0
2θ 47.70, rel. 7.8, hkl 2 1 0
2θ 61.52, rel. 32.1, hkl 2 2 0
2θ 73.70, rel. 37.2, hkl 3 1 1
2θ 77.57, rel. 10.8, hkl 2 2 2

Unit cell a=4.263 b=4.263 c=4.263 alpha=90.00 beta=90.00 gamma=90.00
Space group Pm-3m (No. 221)
Unique sites:
Ho 0.000 0.000 0.000 (multiplicity 1)
Ga 0.000 0.500 0.500 (multiplicity 3)